For Dy5Te5Ru, a crystal structure in Alexandria, relaxed with GGA-PBE gives the theoretical XRD peak list in this record (Cu Ka).

Cell and atoms:
```
Dy5Te5Ru
1.0
6.8760 -3.0604 0.0000
6.8760 3.0604 0.0000
-2.7957 0.0000 8.0961
Dy Te Ru
5 5 1
Direct
0.0000 0.0000 0.0000
0.3521 0.3521 0.6954
0.3530 0.3530 0.1493
0.6470 0.6470 0.8507
0.6479 0.6479 0.3046
0.1658 0.1658 0.8243
0.1811 0.1811 0.3333
0.5000 0.5000 0.5000
0.8189 0.8189 0.6667
0.8342 0.8342 0.1757
0.5000 0.5000 0.0000
```

Principal peaks in the range 10° ≤ 2θ ≤ 80°, low angle first:
2theta	I (rel.)
10.93	18
29.09	88
29.18	100
29.56	89
41.68	95
42.02	68
42.21	31
51.70	31
52.14	34
76.54	25